Calculated X-ray diffraction stick pattern of K2CdCoF6 for Cu Kα X-rays, from a cell relaxed with GGA+U.

Cell and atoms:
a b c (Å): 6.0678 6.0735 8.5706
angles (deg): 90.00 90.00 90.00
Space group Immm (No. 71)
One atom of each set of equivalent atoms:
1 K 0.0000 0.0000 0.2478 x4
2 Cd 0.0000 0.5000 0.0000 x2
3 Co 0.0000 0.5000 0.5000 x2
4 F 0.0000 0.5000 0.2614 x4
5 F 0.2410 0.2620 0.5000 x8

Largest 10 diffraction maxima, by intensity, 10° ≤ 2θ ≤ 90°:
2theta	d/Å	I/Imax	h k l
29.44	3.034	100.0	1 1 2
42.13	2.145	51.9	2 2 0
20.70	4.290	45.4	1 1 0
52.23	1.751	37.3	3 1 2
61.10	1.517	29.5	4 0 0
47.38	1.919	19.5	3 1 0
69.22	1.357	10.6	2 4 0
84.46	1.147	9.2	5 1 2
84.54	1.146	9.2	3 1 6
77.00	1.238	9.0	4 0 4